Record 1
Theoretical powder diffraction line list of Pm5Sb5N for Cu Kα, 1.54184 Å, from a crystal structure in Alexandria, relaxed with GGA-PBE.
Peak positions follow from Bragg's law for the DFT cell and can differ from measured ones.

Peak list (8 most intense, 10° ≤ 2θ ≤ 90°, by angle)
d [Å]	Rel. int.
3.145	54
3.069	100
2.776	44
2.719	44
2.663	38
2.334	28
2.196	40
2.059	37

Crystal structure
```
data_Pm5Sb5N
_chemical_formula_sum 'Pm5 Sb5 N1'
_cell_length_a 7.1627
_cell_length_b 7.1627
_cell_length_c 9.4180
_cell_angle_alpha 115.51
_cell_angle_beta 115.51
_cell_angle_gamma 50.74
_space_group_name_H-M_alt 'P 1'
_space_group_IT_number 1
loop_
_space_group_symop_operation_xyz
'x,y,z'
loop_
_atom_site_label
_atom_site_fract_x
_atom_site_fract_y
_atom_site_fract_z
Pm1 0.0000 0.0000 0.0000
Pm2 0.3329 0.3329 0.7169
Pm3 0.3575 0.3575 0.1146
Pm4 0.6425 0.6425 0.8854
Pm5 0.6671 0.6671 0.2831
Sb1 0.1154 0.1154 0.7810
Sb2 0.2260 0.2260 0.3358
Sb3 0.5000 0.5000 0.5000
Sb4 0.7740 0.7740 0.6642
Sb5 0.8846 0.8846 0.2190
N1 0.5000 0.5000 0.0000
```

***

Record 2
Theoretical powder diffraction line list of LaAs2Au for Cu Kα, 1.54184 Å, from a crystal structure in Alexandria, relaxed with GGA-PBE.
Peak positions follow from Bragg's law for the DFT cell and can differ from measured ones.

Peak list (8 most intense, 10° ≤ 2θ ≤ 90°, by angle)
d [Å]	Rel. int.
2.956	16
2.613	19
2.572	100
2.090	32
1.632	17
1.501	13
1.282	10
1.280	11

Crystal structure
```
data_LaAs2Au
_chemical_formula_sum 'La2 As4 Au2'
_cell_length_a 10.8606
_cell_length_b 4.1790
_cell_length_c 10.8625
_cell_angle_alpha 78.88
_cell_angle_beta 22.18
_cell_angle_gamma 78.93
_space_group_name_H-M_alt 'P 1'
_space_group_IT_number 1
loop_
_space_group_symop_operation_xyz
'x,y,z'
loop_
_atom_site_label
_atom_site_fract_x
_atom_site_fract_y
_atom_site_fract_z
La1 0.1180 0.8820 0.1180
La2 0.8820 0.1180 0.8820
As1 0.0547 0.4855 0.9453
As2 0.3383 0.6618 0.3382
As3 0.4855 0.0547 0.5145
As4 0.6618 0.3383 0.6617
Au1 0.2446 0.2446 0.2554
Au2 0.7446 0.7446 0.7554
```

***

Record 3
Theoretical powder diffraction line list of NaCa2Al2P2H5O11F4 for Cu Kα, 1.54184 Å, from a crystal structure in Alexandria, relaxed with GGA-PBE.
Peak positions follow from Bragg's law for the DFT cell and can differ from measured ones.

Peak list (8 most intense, 10° ≤ 2θ ≤ 90°, by angle)
d [Å]	Rel. int.
4.770	42
3.503	60
3.038	48
2.977	100
2.925	52
2.678	38
2.658	43
1.797	37

Crystal structure
```
data_NaCa2Al2P2H5O11F4
_chemical_formula_sum 'Na2 Ca4 Al4 P4 H10 O22 F8'
_cell_length_a 5.5231
_cell_length_b 10.8029
_cell_length_c 9.5642
_cell_angle_alpha 90.00
_cell_angle_beta 105.73
_cell_angle_gamma 90.00
_space_group_name_H-M_alt 'P 1'
_space_group_IT_number 1
loop_
_space_group_symop_operation_xyz
'x,y,z'
loop_
_atom_site_label
_atom_site_fract_x
_atom_site_fract_y
_atom_site_fract_z
Na1 0.2058 0.2500 0.1840
Na2 0.7942 0.7500 0.8160
Ca1 0.2432 0.5820 0.6454
Ca2 0.2432 0.9180 0.6454
Ca3 0.7568 0.0820 0.3546
Ca4 0.7568 0.4180 0.3546
Al1 0.2222 0.5945 0.2405
Al2 0.2222 0.9055 0.2405
Al3 0.7778 0.0945 0.7595
Al4 0.7778 0.4055 0.7595
P1 0.3557 0.7500 0.9901
P2 0.3735 0.2500 0.5454
P3 0.6265 0.7500 0.4546
P4 0.6443 0.2500 0.0099
H1 0.0317 0.7500 0.3564
H2 0.1746 0.5188 0.9394
H3 0.1746 0.9812 0.9394
H4 0.2295 0.1225 0.8969
H5 0.2295 0.3775 0.8969
H6 0.7705 0.6225 0.1031
H7 0.7705 0.8775 0.1031
H8 0.8254 0.0188 0.0606
H9 0.8254 0.4812 0.0606
H10 0.9683 0.2500 0.6436
O1 0.0866 0.2500 0.4740
O2 0.1005 0.7500 0.2711
O3 0.1340 0.0431 0.8573
O4 0.1340 0.4569 0.8573
O5 0.2353 0.7500 0.8231
O6 0.2571 0.6338 0.0549
O7 0.2571 0.8662 0.0549
O8 0.3559 0.2500 0.9718
O9 0.4463 0.1319 0.6443
O10 0.4463 0.3681 0.6443
O11 0.4782 0.7500 0.5714
O12 0.5218 0.2500 0.4286
O13 0.5537 0.6319 0.3557
O14 0.5537 0.8681 0.3557
O15 0.6441 0.7500 0.0282
O16 0.7429 0.1338 0.9451
O17 0.7429 0.3662 0.9451
O18 0.7647 0.2500 0.1769
O19 0.8660 0.5431 0.1427
O20 0.8660 0.9569 0.1427
O21 0.8995 0.2500 0.7289
O22 0.9134 0.7500 0.5260
F1 0.1368 0.5323 0.4030
F2 0.1368 0.9677 0.4030
F3 0.3386 0.0580 0.2148
F4 0.3386 0.4420 0.2148
F5 0.6614 0.5580 0.7852
F6 0.6614 0.9420 0.7852
F7 0.8632 0.0323 0.5970
F8 0.8632 0.4677 0.5970
```

***

Q: Which formula does entry 1 have?
A: Pm5Sb5N

***

Please write out number 3 again, unchanged.
Theoretical powder diffraction line list of NaCa2Al2P2H5O11F4 for Cu Kα, 1.54184 Å, from a crystal structure in Alexandria, relaxed with GGA-PBE.
Peak positions follow from Bragg's law for the DFT cell and can differ from measured ones.

Peak list (8 most intense, 10° ≤ 2θ ≤ 90°, by angle)
d [Å]	Rel. int.
4.770	42
3.503	60
3.038	48
2.977	100
2.925	52
2.678	38
2.658	43
1.797	37

Crystal structure
```
data_NaCa2Al2P2H5O11F4
_chemical_formula_sum 'Na2 Ca4 Al4 P4 H10 O22 F8'
_cell_length_a 5.5231
_cell_length_b 10.8029
_cell_length_c 9.5642
_cell_angle_alpha 90.00
_cell_angle_beta 105.73
_cell_angle_gamma 90.00
_space_group_name_H-M_alt 'P 1'
_space_group_IT_number 1
loop_
_space_group_symop_operation_xyz
'x,y,z'
loop_
_atom_site_label
_atom_site_fract_x
_atom_site_fract_y
_atom_site_fract_z
Na1 0.2058 0.2500 0.1840
Na2 0.7942 0.7500 0.8160
Ca1 0.2432 0.5820 0.6454
Ca2 0.2432 0.9180 0.6454
Ca3 0.7568 0.0820 0.3546
Ca4 0.7568 0.4180 0.3546
Al1 0.2222 0.5945 0.2405
Al2 0.2222 0.9055 0.2405
Al3 0.7778 0.0945 0.7595
Al4 0.7778 0.4055 0.7595
P1 0.3557 0.7500 0.9901
P2 0.3735 0.2500 0.5454
P3 0.6265 0.7500 0.4546
P4 0.6443 0.2500 0.0099
H1 0.0317 0.7500 0.3564
H2 0.1746 0.5188 0.9394
H3 0.1746 0.9812 0.9394
H4 0.2295 0.1225 0.8969
H5 0.2295 0.3775 0.8969
H6 0.7705 0.6225 0.1031
H7 0.7705 0.8775 0.1031
H8 0.8254 0.0188 0.0606
H9 0.8254 0.4812 0.0606
H10 0.9683 0.2500 0.6436
O1 0.0866 0.2500 0.4740
O2 0.1005 0.7500 0.2711
O3 0.1340 0.0431 0.8573
O4 0.1340 0.4569 0.8573
O5 0.2353 0.7500 0.8231
O6 0.2571 0.6338 0.0549
O7 0.2571 0.8662 0.0549
O8 0.3559 0.2500 0.9718
O9 0.4463 0.1319 0.6443
O10 0.4463 0.3681 0.6443
O11 0.4782 0.7500 0.5714
O12 0.5218 0.2500 0.4286
O13 0.5537 0.6319 0.3557
O14 0.5537 0.8681 0.3557
O15 0.6441 0.7500 0.0282
O16 0.7429 0.1338 0.9451
O17 0.7429 0.3662 0.9451
O18 0.7647 0.2500 0.1769
O19 0.8660 0.5431 0.1427
O20 0.8660 0.9569 0.1427
O21 0.8995 0.2500 0.7289
O22 0.9134 0.7500 0.5260
F1 0.1368 0.5323 0.4030
F2 0.1368 0.9677 0.4030
F3 0.3386 0.0580 0.2148
F4 0.3386 0.4420 0.2148
F5 0.6614 0.5580 0.7852
F6 0.6614 0.9420 0.7852
F7 0.8632 0.0323 0.5970
F8 0.8632 0.4677 0.5970
```

***

Please write out number 2 again, unchanged.
Theoretical powder diffraction line list of LaAs2Au for Cu Kα, 1.54184 Å, from a crystal structure in Alexandria, relaxed with GGA-PBE.
Peak positions follow from Bragg's law for the DFT cell and can differ from measured ones.

Peak list (8 most intense, 10° ≤ 2θ ≤ 90°, by angle)
d [Å]	Rel. int.
2.956	16
2.613	19
2.572	100
2.090	32
1.632	17
1.501	13
1.282	10
1.280	11

Crystal structure
```
data_LaAs2Au
_chemical_formula_sum 'La2 As4 Au2'
_cell_length_a 10.8606
_cell_length_b 4.1790
_cell_length_c 10.8625
_cell_angle_alpha 78.88
_cell_angle_beta 22.18
_cell_angle_gamma 78.93
_space_group_name_H-M_alt 'P 1'
_space_group_IT_number 1
loop_
_space_group_symop_operation_xyz
'x,y,z'
loop_
_atom_site_label
_atom_site_fract_x
_atom_site_fract_y
_atom_site_fract_z
La1 0.1180 0.8820 0.1180
La2 0.8820 0.1180 0.8820
As1 0.0547 0.4855 0.9453
As2 0.3383 0.6618 0.3382
As3 0.4855 0.0547 0.5145
As4 0.6618 0.3383 0.6617
Au1 0.2446 0.2446 0.2554
Au2 0.7446 0.7446 0.7554
```